# 1
# TlAsIrPbAuCl
Calculated powder diffractogram, Cu Kα X-rays. Input: a cell relaxed with PBE.
Kinematic intensities with the Lorentz-polarization factor, no thermal factor.

Main lines, in order of rising 2θ (5° ≤ 2θ ≤ 70°):
2θ = 8.95°, d 9.876, I = 100; 2θ = 24.70°, d 3.604, I = 17; 2θ = 28.80°, d 3.100, I = 16; 2θ = 32.34°, d 2.768, I = 35; 2θ = 32.51°, d 2.754, I = 70; 2θ = 34.56°, d 2.595, I = 44; 2θ = 43.00°, d 2.103, I = 46; 2θ = 43.21°, d 2.094, I = 23; 2θ = 54.99°, d 1.670, I = 16; 2θ = 64.87°, d 1.437, I = 15

Structure:
a b c (Å): 7.298 4.187 10.179
angles (deg): 90.00 104.00 90.00
Space group Cm (No. 8)
Inequivalent atoms, fractional coordinates:
Tl 0.000 0.000 0.000 x2
As 0.379 0.500 0.654 x2
Ir 0.053 0.500 0.670 x2
Pb 0.142 0.000 0.444 x2
Au 0.273 0.000 0.828 x2
Cl 0.246 0.500 0.249 x2

=====

# 2
# Bi2O5
Calculated powder diffractogram, Cu Kα X-rays. Input: a cell relaxed with PBE.
Kinematic intensities with the Lorentz-polarization factor, no thermal factor.

Main lines, in order of rising 2θ (5° ≤ 2θ ≤ 70°):
2θ = 17.57°, d 5.047, I = 98; 2θ = 18.15°, d 4.888, I = 42; 2θ = 22.31°, d 3.985, I = 100; 2θ = 28.54°, d 3.127, I = 40; 2θ = 31.03°, d 2.882, I = 69; 2θ = 31.90°, d 2.805, I = 44; 2θ = 32.04°, d 2.793, I = 33; 2θ = 34.90°, d 2.571, I = 45; 2θ = 36.65°, d 2.452, I = 31; 2θ = 53.45°, d 1.714, I = 31

Structure:
a b c (Å): 4.265 11.173 10.093
angles (deg): 90.00 90.00 90.00
Space group Cmcm (No. 63)
Inequivalent atoms, fractional coordinates:
Bi 0.000 0.136 0.061 x8
O 0.000 0.045 0.626 x8
O 0.000 0.215 0.250 x4
O 0.000 0.315 0.535 x8